[1]
Diffraction record for Mg5Hg. The powder XRD pattern is calculated, not measured: it uses a DFT-relaxed cell (PBE, the Materials Project) and Cu Kα (λ = 1.5418 Å).
Peak positions follow from Bragg's law for the DFT cell and can differ from measured ones.

abc: 6.0275 6.0275 6.0275
angles: 53.96 53.96 53.96
Sites, in units of the cell vectors:
Mg 0.0000 0.6647 0.3353
Mg 0.1670 0.1670 0.1670
Mg 0.3353 0.0000 0.6647
Mg 0.6647 0.3353 0.0000
Mg 0.8330 0.8330 0.8330
Hg 0.5000 0.5000 0.5000

Principal peaks in the range 2θ = 15–90°, by intensity:
37.3 deg, d 2.413, I = 1000; 19.6 deg, d 4.527, I = 828; 22.0 deg, d 4.034, I = 625; 32.8 deg, d 2.734, I = 397; 17.3 deg, d 5.134, I = 363; 29.9 deg, d 2.988, I = 303; 48.6 deg, d 1.872, I = 265; 35.0 deg, d 2.567, I = 242; 34.7 deg, d 2.582, I = 207; 64.2 deg, d 1.451, I = 202

---

[2]
Diffraction record for Mg3Hg. The powder XRD pattern is calculated, not measured: it uses a DFT-relaxed cell (PBE, the Materials Project) and Cu Kα (λ = 1.5418 Å).
Peak positions follow from Bragg's law for the DFT cell and can differ from measured ones.

abc: 10.1615 10.1615 10.1615
angles: 48.36 48.36 48.36
Sites, in units of the cell vectors:
Mg 0.0195 0.2707 0.5377
Mg 0.0571 0.0571 0.0571
Mg 0.1728 0.7404 0.4181
Mg 0.1812 0.1812 0.1812
Mg 0.2596 0.8272 0.5819
Mg 0.2707 0.5377 0.0195
Mg 0.3629 0.3629 0.3629
Mg 0.4181 0.1728 0.7404
Mg 0.4623 0.7293 0.9805
Mg 0.5377 0.0195 0.2707
Mg 0.5819 0.2596 0.8272
Mg 0.6371 0.6371 0.6371
Mg 0.7293 0.9805 0.4623
Mg 0.7404 0.4181 0.1728
Mg 0.8188 0.8188 0.8188
Mg 0.8272 0.5819 0.2596
Mg 0.9429 0.9429 0.9429
Mg 0.9805 0.4623 0.7293
Hg 0.0000 0.6817 0.3183
Hg 0.1738 0.5000 0.8262
Hg 0.3183 0.0000 0.6817
Hg 0.5000 0.8262 0.1738
Hg 0.6817 0.3183 0.0000
Hg 0.8262 0.1738 0.5000

Principal peaks in the range 2θ = 15–90°, by intensity:
23.6 deg, d 3.774, I = 1000; 37.1 deg, d 2.425, I = 617; 37.4 deg, d 2.403, I = 417; 19.8 deg, d 4.477, I = 332; 42.7 deg, d 2.117, I = 327; 21.3 deg, d 4.162, I = 238; 44.7 deg, d 2.027, I = 211; 59.7 deg, d 1.549, I = 184; 29.3 deg, d 3.048, I = 166; 53.7 deg, d 1.707, I = 164

---

[3]
Diffraction record for Mg2Hg. The powder XRD pattern is calculated, not measured: it uses a DFT-relaxed cell (PBE, the Materials Project) and Cu Kα (λ = 1.5418 Å).
Peak positions follow from Bragg's law for the DFT cell and can differ from measured ones.

abc: 6.1794 4.6897 8.9717
angles: 90.00 90.00 90.00
Sites, in units of the cell vectors:
Mg 0.0499 0.2500 0.2094
Mg 0.1795 0.2500 0.5561
Mg 0.3205 0.7500 0.0561
Mg 0.4501 0.7500 0.7094
Mg 0.5499 0.2500 0.2906
Mg 0.6795 0.2500 0.9439
Mg 0.8205 0.7500 0.4439
Mg 0.9501 0.7500 0.7906
Hg 0.2139 0.2500 0.8795
Hg 0.2861 0.7500 0.3795
Hg 0.7139 0.2500 0.6205
Hg 0.7861 0.7500 0.1205

Principal peaks in the range 2θ = 15–90°, by intensity:
24.5 deg, d 3.630, I = 1000; 25.8 deg, d 3.449, I = 847; 21.4 deg, d 4.156, I = 656; 36.2 deg, d 2.480, I = 544; 35.6 deg, d 2.522, I = 480; 38.6 deg, d 2.335, I = 419; 46.1 deg, d 1.970, I = 389; 28.9 deg, d 3.090, I = 335; 38.4 deg, d 2.345, I = 329; 46.5 deg, d 1.954, I = 228